The following is a theoretical X-ray diffraction stick pattern of Li7V4P6O24. It was derived from the PBE+U geometry in Alexandria, using Cu Kα (λ = 1.5418 Å).

Most intense lines, 2θ = 10–90°, sorted by position:
d_spacing, I (rel.), index
6.139, 100, 0 1 -1
4.426, 63, 0 1 1
4.413, 32, 1 0 2
3.694, 100, 1 2 1
3.683, 97, 1 -1 2
3.072, 47, 2 0 0
2.793, 41, 1 2 2
2.782, 80, 1 2 -2
2.462, 45, 3 0 2
2.332, 27, 3 0 3

Crystal structure
a = 8.5192 Å, b = 8.5234 Å, c = 8.8389 Å
α = 89.91°, β = 61.24°, γ = 60.16°
Space group P1 (No. 1)
Asymmetric unit:
Li (0.0000, 0.0000, 0.0000) x1
Li (0.0563, 0.1207, 0.4056) x1
Li (0.3445, 0.3043, 0.0012) x1
Li (0.4133, 0.4732, 0.4048) x1
Li (0.7032, 0.6459, 0.9948) x1
Li (0.7712, 0.7611, 0.3992) x1
Li (0.8966, 0.8727, 0.6673) x1
V (0.1696, 0.7412, 0.2697) x1
V (0.1897, 0.2303, 0.7386) x1
V (0.5675, 0.5413, 0.6734) x1
V (0.5928, 0.0262, 0.1338) x1
P (0.0810, 0.6359, 0.9536) x1
P (0.0832, 0.4296, 0.4557) x1
P (0.3787, 0.9341, 0.9564) x1
P (0.3808, 0.8412, 0.4566) x1
P (0.6710, 0.1376, 0.4575) x1
P (0.6754, 0.3373, 0.9571) x1
O (0.0296, 0.6861, 0.1466) x1
O (0.1695, 0.3999, 0.5796) x1
O (0.1736, 0.4215, 0.8960) x1
O (0.2014, 0.0501, 0.5795) x1
O (0.2236, 0.0539, 0.8965) x1
O (0.2361, 0.9374, 0.1504) x1
O (0.2382, 0.6900, 0.8293) x1
O (0.2591, 0.7539, 0.4567) x1
O (0.2782, 0.2832, 0.2629) x1
O (0.4866, 0.4785, 0.1496) x1
O (0.5064, 0.0192, 0.9520) x1
O (0.5158, 0.0842, 0.5847) x1
O (0.5256, 0.8459, 0.2626) x1
O (0.5398, 0.7187, 0.5125) x1
O (0.5564, 0.7234, 0.8342) x1
O (0.5826, 0.3517, 0.5103) x1
O (0.5872, 0.3699, 0.8336) x1
O (0.7167, 0.0842, 0.2648) x1
O (0.7625, 0.1263, 0.9553) x1
O (0.8575, 0.3705, 0.8950) x1
O (0.8731, 0.7580, 0.9502) x1
O (0.8789, 0.0161, 0.4593) x1
O (0.9027, 0.3945, 0.5142) x1
O (0.9943, 0.6395, 0.4579) x1